Te4PdRh2: theoretical powder diffraction line list (Cu Kα X-rays), based on a crystal structure in Alexandria, relaxed with GGA-PBE.
Intensities are scaled so that the largest is 100.

Peak list (6 most intense, 2θ = 10–90°, low angle first)
2θ/deg, Rel. int.
29.60, 100.0
29.96, 45.6
30.44, 53.7
40.36, 89.5
44.32, 45.3
44.96, 84.5

Structural model:
```
Te4PdRh2
1.0
6.6154 -2.0439 0.0000
6.6154 2.0439 0.0000
-3.5015 0.0000 6.0110
Te Pd Rh
4 1 2
Cartesian
0.0383 0.0000 2.7948 Te
4.7059 0.0000 0.1274 Te
5.0234 0.0000 5.8835 Te
9.6911 0.0000 3.2161 Te
0.0000 0.0000 0.0000 Pd
2.4734 0.0000 1.6447 Rh
7.2559 0.0000 4.3663 Rh
```